K3LiW2O8: theoretical powder diffractogram (Cu Kα (λ = 1.5418 Å)), based on a crystal structure in Alexandria, relaxed with PBE+U.
Kinematic intensities with the Lorentz-polarization factor, no thermal factor.

Structural model:
abc: 6.022 6.022 7.685
angles: 90.00 90.00 120.00
Positions (direct):
K 0.000 0.000 0.000
K 0.333 0.667 0.657
K 0.667 0.333 0.343
Li 0.000 0.000 0.500
W 0.333 0.667 0.225
W 0.667 0.333 0.775
O 0.171 0.342 0.313
O 0.171 0.829 0.313
O 0.333 0.667 0.990
O 0.342 0.171 0.687
O 0.658 0.829 0.313
O 0.667 0.333 0.010
O 0.829 0.171 0.687
O 0.829 0.658 0.687

Most intense lines, 10 to 90 degrees two-theta, low angle first:
| Position (°2θ) | I/Imax |
| --- | --- |
| 17.00 | 32 |
| 20.58 | 100 |
| 23.15 | 23 |
| 28.86 | 35 |
| 29.67 | 65 |
| 37.96 | 21 |
| 39.18 | 26 |
| 41.87 | 23 |
| 47.63 | 22 |
| 59.14 | 15 |